No. 1
# Y2Co3Si5
Simulated powder XRD pattern, Cu Ka. Input: the PBE geometry in the Materials Project.
Neutral-atom scattering factors, no anomalous dispersion.

Structural model:
Cell: 7.8814 7.8814 7.8814 Å, 105.63 88.72 138.85°
Element x y z (fractional)
Y: 0.1338 0.2338 0.3676
Y: 0.3662 0.7338 0.0999
Y: 0.6338 0.2662 0.9001
Y: 0.8662 0.7662 0.6324
Co: 0.1379 0.8919 0.0298
Co: 0.2500 0.7500 0.5000
Co: 0.3621 0.3919 0.7541
Co: 0.6379 0.6081 0.2459
Co: 0.7500 0.2500 0.5000
Co: 0.8621 0.1081 0.9702
Si: 0.0236 0.7500 0.2736
Si: 0.1007 0.6582 0.7588
Si: 0.2500 0.2500 0.0000
Si: 0.3993 0.1582 0.5575
Si: 0.4764 0.7500 0.7264
Si: 0.5236 0.2500 0.2736
Si: 0.6007 0.8418 0.4425
Si: 0.7500 0.7500 0.0000
Si: 0.8993 0.3418 0.2412
Si: 0.9764 0.2500 0.7264

Largest 8 diffraction maxima, by angle, 2θ = 10–90°:
2θ (°), Rel. int.
32.32, 19
36.30, 100
37.07, 56
37.56, 56
45.95, 68
53.39, 22
60.26, 21
67.69, 20

No. 2
# Er6AgGe2S14
Simulated powder XRD pattern, Cu Ka. Input: the PBE geometry in the Materials Project.
Neutral-atom scattering factors, no anomalous dispersion.

Structural model:
Cell: 9.7508 9.7508 5.8665 Å, 90.00 90.00 120.00°
Element x y z (fractional)
Er: 0.0245 0.4742 0.0000
Er: 0.3087 0.1924 0.4993
Er: 0.4498 0.9755 0.0000
Er: 0.5258 0.5502 0.0000
Er: 0.8076 0.1163 0.4993
Er: 0.8837 0.6913 0.4993
Ag: 0.6667 0.3333 0.2884
Ge: 0.0000 0.0000 0.9245
Ge: 0.3333 0.6667 0.4220
S: 0.0000 0.0000 0.3024
S: 0.0935 0.2388 0.7617
S: 0.1453 0.9065 0.7617
S: 0.1884 0.7603 0.2592
S: 0.2397 0.4282 0.2592
S: 0.3333 0.6667 0.8006
S: 0.4052 0.2261 0.0545
S: 0.5116 0.0738 0.5520
S: 0.5623 0.4884 0.5520
S: 0.5718 0.8116 0.2592
S: 0.7612 0.8547 0.7617
S: 0.7739 0.1791 0.0545
S: 0.8209 0.5948 0.0545
S: 0.9262 0.4377 0.5520

Largest 8 diffraction maxima, by angle, 2θ = 10–90°:
2θ (°), Rel. int.
18.42, 22
21.04, 21
23.73, 19
26.00, 100
36.87, 47
37.33, 37
38.44, 19
41.52, 21

No. 3
# TmB4Ir4
Simulated powder XRD pattern, Cu Ka. Input: the PBE geometry in the Materials Project.
Neutral-atom scattering factors, no anomalous dispersion.

Structural model:
Cell: 5.3949 5.3949 7.4450 Å, 90.00 90.00 90.00°
Element x y z (fractional)
Tm: 0.2500 0.7500 0.2500
Tm: 0.7500 0.2500 0.7500
B: 0.0775 0.2500 0.0968
B: 0.2500 0.0775 0.5968
B: 0.2500 0.4225 0.5968
B: 0.4225 0.2500 0.0968
B: 0.5775 0.7500 0.9032
B: 0.7500 0.5775 0.4032
B: 0.7500 0.9225 0.4032
B: 0.9225 0.7500 0.9032
Ir: 0.0011 0.7500 0.6051
Ir: 0.2500 0.5011 0.8949
Ir: 0.2500 0.9989 0.8949
Ir: 0.4989 0.7500 0.6051
Ir: 0.5011 0.2500 0.3949
Ir: 0.7500 0.0011 0.1051
Ir: 0.7500 0.4989 0.1051
Ir: 0.9989 0.2500 0.3949

Largest 8 diffraction maxima, by angle, 2θ = 10–90°:
2θ (°), Rel. int.
29.15, 57
35.39, 100
39.25, 75
39.99, 59
44.76, 43
47.68, 24
70.72, 29
80.69, 21

No. 4
# Li2Se2O7
Simulated powder XRD pattern, Cu Ka. Input: the PBE geometry in the Materials Project.
Neutral-atom scattering factors, no anomalous dispersion.

Structural model:
Cell: 14.1496 8.6715 5.2159 Å, 90.00 90.00 90.00°
Element x y z (fractional)
Li: 0.1016 0.0669 0.0912
Li: 0.1016 0.4331 0.0912
Li: 0.3984 0.5669 0.5912
Li: 0.3984 0.9331 0.5912
Li: 0.6016 0.0669 0.4088
Li: 0.6016 0.4331 0.4088
Li: 0.8984 0.5669 0.9088
Li: 0.8984 0.9331 0.9088
Se: 0.0030 0.7500 0.3900
Se: 0.2186 0.7500 0.2626
Se: 0.2814 0.2500 0.7626
Se: 0.4970 0.2500 0.8900
Se: 0.5030 0.7500 0.1100
Se: 0.7186 0.7500 0.2374
Se: 0.7814 0.2500 0.7374
Se: 0.9970 0.2500 0.6100
O: 0.0080 0.0904 0.7807
O: 0.0080 0.4096 0.7807
O: 0.0582 0.2500 0.3414
O: 0.1229 0.7500 0.5093
O: 0.1877 0.2500 0.9511
O: 0.2048 0.5902 0.1008
O: 0.2048 0.9098 0.1008
O: 0.2952 0.0902 0.6008
O: 0.2952 0.4098 0.6008
O: 0.3123 0.7500 0.4511
O: 0.3771 0.2500 0.0093
O: 0.4418 0.7500 0.8414
O: 0.4920 0.5904 0.2807
O: 0.4920 0.9096 0.2807
O: 0.5080 0.0904 0.7193
O: 0.5080 0.4096 0.7193
O: 0.5582 0.2500 0.1586
O: 0.6229 0.7500 0.9907
O: 0.6877 0.2500 0.5489
O: 0.7048 0.5902 0.3992
O: 0.7048 0.9098 0.3992
O: 0.7952 0.0902 0.8992
O: 0.7952 0.4098 0.8992
O: 0.8123 0.7500 0.0489
O: 0.8771 0.2500 0.4907
O: 0.9418 0.7500 0.6586
O: 0.9920 0.5904 0.2193
O: 0.9920 0.9096 0.2193

Largest 8 diffraction maxima, by angle, 2θ = 10–90°:
2θ (°), Rel. int.
18.13, 18
19.86, 100
20.48, 66
25.18, 33
25.46, 17
27.48, 32
32.27, 45
32.67, 14

No. 5
# SrSm2Se4
Simulated powder XRD pattern, Cu Ka. Input: the PBE geometry in the Materials Project.
Neutral-atom scattering factors, no anomalous dispersion.

Structural model:
Cell: 7.7934 7.7934 7.7934 Å, 109.40 109.40 109.60°
Element x y z (fractional)
Sr: 0.0000 0.0000 0.0000
Sr: 0.7500 0.2500 0.5000
Sm: 0.2494 0.6250 0.1244
Sm: 0.3750 0.4994 0.6244
Sm: 0.5006 0.1250 0.8756
Sm: 0.8750 0.7506 0.3756
Se: 0.1355 0.7316 0.7482
Se: 0.1373 0.2333 0.7518
Se: 0.2684 0.0167 0.4039
Se: 0.4816 0.3855 0.2482
Se: 0.6127 0.8645 0.5961
Se: 0.6145 0.8627 0.0961
Se: 0.7667 0.5184 0.9039
Se: 0.9833 0.3873 0.2517

Largest 8 diffraction maxima, by angle, 2θ = 10–90°:
2θ (°), Rel. int.
24.23, 22
31.43, 100
37.39, 66
45.05, 22
47.38, 16
49.63, 11
51.81, 19
63.71, 21

No. 6
# MgMoW2Se2S4
Simulated powder XRD pattern, Cu Ka. Input: the PBE geometry in the Materials Project.
Neutral-atom scattering factors, no anomalous dispersion.

Structural model:
Cell: 3.2351 3.2351 36.7942 Å, 90.00 90.00 120.00°
Element x y z (fractional)
Mg: 0.0000 0.0000 0.0000
Mo: 0.0000 0.0000 0.1294
W: 0.6667 0.3333 0.3504
W: 0.6667 0.3333 0.8815
Se: 0.6667 0.3333 0.0827
Se: 0.6667 0.3333 0.1757
S: 0.0000 0.0000 0.3080
S: 0.0000 0.0000 0.3927
S: 0.0000 0.0000 0.8394
S: 0.0000 0.0000 0.9238

Largest 8 diffraction maxima, by angle, 2θ = 10–90°:
2θ (°), Rel. int.
12.03, 92
31.96, 94
33.43, 78
35.22, 81
36.34, 73
40.47, 68
42.07, 100
56.94, 54

No. 7
# CeMg2
Simulated powder XRD pattern, Cu Ka. Input: the PBE geometry in the Materials Project.
Neutral-atom scattering factors, no anomalous dispersion.

Structural model:
Cell: 5.9582 5.9582 8.3403 Å, 103.21 103.21 31.25°
Element x y z (fractional)
Ce: 0.1446 0.1446 0.0275
Ce: 0.8554 0.8554 0.9725
Mg: 0.1913 0.1913 0.6275
Mg: 0.4718 0.4718 0.6833
Mg: 0.5282 0.5282 0.3167
Mg: 0.8087 0.8087 0.3725

Largest 8 diffraction maxima, by angle, 2θ = 10–90°:
2θ (°), Rel. int.
10.92, 100
21.94, 23
30.32, 12
31.71, 12
33.17, 18
34.46, 21
35.40, 28
36.99, 37